Structure and calculated X-ray diffraction stick pattern of MnCoO4 (a structure optimized by DFT (GGA+U); Cu Kα X-rays).
Peak positions follow from Bragg's law for the DFT cell and can differ from measured ones.

The 6 most intense peaks (2θ from 10° to 80°), most intense first:
Position (°2θ)	intensity	index
17.6	100	0 2 0
40.2	15	1 2 1
45.1	14	1 3 -1
37.0	13	1 1 -1
45.3	12	0 3 2
37.2	11	0 1 2

```
data_MnCoO4
_cell_length_a 2.8951
_cell_length_b 10.1062
_cell_length_c 4.9803
_cell_angle_alpha 90.00
_cell_angle_beta 90.05
_cell_angle_gamma 90.00
_space_group_name_H-M_alt 'P 1'
_space_group_IT_number 1
_space_group_name_Hall 'P 1'
loop_
_atom_site_label
_atom_site_type_symbol
_atom_site_fract_x
_atom_site_fract_y
_atom_site_fract_z
Mn1 Mn 0.1245 0.0000 0.3740
Mn2 Mn 0.8755 0.5000 0.6260
Co1 Co 0.3755 0.4999 0.1259
Co2 Co 0.6245 0.9999 0.8741
O1 O 0.1245 0.0936 0.7132
O2 O 0.1246 0.9064 0.0349
O3 O 0.3753 0.4054 0.4545
O4 O 0.3756 0.5945 0.7976
O5 O 0.6244 0.0945 0.2024
O6 O 0.6247 0.9054 0.5455
O7 O 0.8754 0.4064 0.9651
O8 O 0.8755 0.5936 0.2868
```